1.
Starting from a cell relaxed with PBE, the powder diffraction line list of Ho2Nb3Ge4 was simulated for Cu Ka.
Kinematic intensities with the Lorentz-polarization factor, no thermal factor.

Principal peaks in the range 2θ = 5–70°, in order of falling intensity:
hkl 1 3 2, 2.609 Å, rel. 100; hkl 2 3 1, 2.584 Å, rel. 98; hkl 3 0 1, 2.219 Å, rel. 53; hkl 0 4 2, 2.465 Å, rel. 51; hkl 0 6 0, 2.264 Å, rel. 47; hkl 1 1 3, 2.232 Å, rel. 30; hkl 3 4 3, 1.499 Å, rel. 23; hkl 2 4 1, 2.308 Å, rel. 23; hkl 1 4 2, 2.326 Å, rel. 20; hkl 2 5 0, 2.146 Å, rel. 18

Crystal structure
Cell lengths 7.0007, 13.5861, 7.1734 Å; angles 90.00, 90.00, 90.00 degrees
Space group Pnma (No. 62)
Symmetry-distinct sites (fractional):
Ho (0.0034, 0.0946, 0.1741) (multiplicity 8)
Nb (0.1598, 0.6264, 0.3290) (multiplicity 8)
Nb (0.1644, 0.2500, 0.5124) (multiplicity 4)
Ge (0.0401, 0.2500, 0.8787) (multiplicity 4)
Ge (0.1747, 0.0415, 0.5383) (multiplicity 8)
Ge (0.1953, 0.7500, 0.6391) (multiplicity 4)

2.
Starting from a cell relaxed with PBE, the powder diffraction line list of HoNi5Ge3 was simulated for Cu Ka.
Kinematic intensities with the Lorentz-polarization factor, no thermal factor.

Principal peaks in the range 2θ = 5–70°, in order of falling intensity:
hkl 3 1 2, 2.367 Å, rel. 100; hkl 0 2 0, 1.915 Å, rel. 42; hkl 7 0 1, 2.528 Å, rel. 37; hkl 6 1 0, 2.441 Å, rel. 24; hkl 9 0 2, 1.798 Å, rel. 22; hkl 8 1 0, 2.019 Å, rel. 22; hkl 5 1 1, 2.510 Å, rel. 22; hkl 5 0 2, 2.544 Å, rel. 19; hkl 5 1 2, 2.119 Å, rel. 18; hkl 0 0 4, 1.711 Å, rel. 18

Crystal structure
Cell lengths 19.0140, 3.8296, 6.8442 Å; angles 90.00, 90.00, 90.00 degrees
Space group Pnma (No. 62)
Symmetry-distinct sites (fractional):
Ho (0.1447, 0.2500, 0.1198) (multiplicity 4)
Ni (0.0046, 0.7500, 0.1301) (multiplicity 4)
Ni (0.0129, 0.2500, 0.3804) (multiplicity 4)
Ni (0.1116, 0.2500, 0.6403) (multiplicity 4)
Ni (0.2006, 0.7500, 0.8116) (multiplicity 4)
Ni (0.2073, 0.7500, 0.4250) (multiplicity 4)
Ge (0.0764, 0.7500, 0.8502) (multiplicity 4)
Ge (0.0857, 0.7500, 0.4039) (multiplicity 4)
Ge (0.2368, 0.2500, 0.6170) (multiplicity 4)

3.
Starting from a cell relaxed with PBE, the powder diffraction line list of Ho4Ni3Ge12 was simulated for Cu Ka.
Kinematic intensities with the Lorentz-polarization factor, no thermal factor.

Principal peaks in the range 2θ = 5–70°, in order of falling intensity:
hkl 1 1 3, 2.675 Å, rel. 100; hkl 2 0 0, 2.038 Å, rel. 47; hkl 0 0 8, 2.699 Å, rel. 37; hkl 2 0 8, 1.626 Å, rel. 22; hkl 1 0 9, 2.067 Å, rel. 20; hkl 1 1 5, 2.397 Å, rel. 18; hkl 2 2 0, 1.441 Å, rel. 15; hkl 1 2 9, 1.452 Å, rel. 13; hkl 1 0 3, 3.544 Å, rel. 10; hkl 1 1 7, 2.106 Å, rel. 9

Crystal structure
Cell lengths 4.0710, 4.0797, 21.5979 Å; angles 90.00, 90.00, 90.00 degrees
Space group Pmm2 (No. 25)
Symmetry-distinct sites (fractional):
Ho (0.0000, 0.0000, 0.0000) (multiplicity 1)
Ho (0.0000, 0.0000, 0.3349) (multiplicity 1)
Ho (0.5000, 0.0000, 0.4985) (multiplicity 1)
Ho (0.5000, 0.0000, 0.8378) (multiplicity 1)
Ni (0.0000, 0.5000, 0.5576) (multiplicity 1)
Ni (0.0000, 0.5000, 0.7796) (multiplicity 1)
Ni (0.5000, 0.5000, 0.0572) (multiplicity 1)
Ge (0.0000, 0.0000, 0.6113) (multiplicity 1)
Ge (0.0000, 0.0000, 0.7260) (multiplicity 1)
Ge (0.0000, 0.5000, 0.1130) (multiplicity 1)
Ge (0.0000, 0.5000, 0.2304) (multiplicity 1)
Ge (0.0000, 0.5000, 0.4506) (multiplicity 1)
Ge (0.0000, 0.5000, 0.8850) (multiplicity 1)
Ge (0.5000, 0.0000, 0.1133) (multiplicity 1)
Ge (0.5000, 0.0000, 0.2299) (multiplicity 1)
Ge (0.5000, 0.5000, 0.3779) (multiplicity 1)
Ge (0.5000, 0.5000, 0.6109) (multiplicity 1)
Ge (0.5000, 0.5000, 0.7262) (multiplicity 1)
Ge (0.5000, 0.5000, 0.9516) (multiplicity 1)